(1)
Diffraction record for K4Rb3Ag. The X-ray diffraction stick pattern is computed, not measured: it uses the PBE geometry in Alexandria and Cu Kα X-rays.
Peak positions follow from Bragg's law for the DFT cell and can differ from measured ones.

Crystal structure
a b c (Å): 18.038 18.038 6.986
angles (deg): 101.00 101.00 14.32
Positions (direct):
K (0.075, 0.075, 0.074)
K (0.285, 0.285, 0.787)
K (0.715, 0.715, 0.213)
K (0.925, 0.925, 0.926)
Rb (0.000, 0.000, 0.500)
Rb (0.152, 0.152, 0.649)
Rb (0.848, 0.848, 0.351)
Ag (0.500, 0.500, 0.000)

Main lines, in order of falling intensity (5 to 70 degrees two-theta):
2θ = 28.09°, I 100
2θ = 5.03°, I 88
2θ = 23.52°, I 78
2θ = 25.50°, I 58
2θ = 21.81°, I 53
2θ = 31.22°, I 40
2θ = 15.13°, I 39
2θ = 14.77°, I 33
2θ = 46.58°, I 25
2θ = 40.11°, I 20

(2)
Diffraction record for K3RbAg2. The X-ray diffraction stick pattern is computed, not measured: it uses the PBE geometry in Alexandria and Cu Kα X-rays.
Peak positions follow from Bragg's law for the DFT cell and can differ from measured ones.

Crystal structure
a b c (Å): 10.517 10.517 14.146
angles (deg): 120.57 120.57 26.72
Positions (direct):
K (0.088, 0.088, 0.435)
K (0.089, 0.089, 0.948)
K (0.336, 0.336, 0.750)
K (0.664, 0.664, 0.250)
K (0.911, 0.911, 0.052)
K (0.912, 0.912, 0.565)
Rb (0.344, 0.344, 0.260)
Rb (0.656, 0.656, 0.740)
Ag (0.265, 0.265, 0.461)
Ag (0.265, 0.265, 0.961)
Ag (0.735, 0.735, 0.039)
Ag (0.735, 0.735, 0.539)

Main lines, in order of falling intensity (5 to 70 degrees two-theta):
2θ = 10.14°, I 100
2θ = 32.96°, I 41
2θ = 25.69°, I 40
2θ = 12.76°, I 20
2θ = 31.28°, I 18
2θ = 23.86°, I 17
2θ = 26.16°, I 17
2θ = 28.55°, I 16
2θ = 36.99°, I 15
2θ = 36.07°, I 15

(3)
Diffraction record for K3RbAg3. The X-ray diffraction stick pattern is computed, not measured: it uses the PBE geometry in Alexandria and Cu Kα X-rays.
Peak positions follow from Bragg's law for the DFT cell and can differ from measured ones.

Crystal structure
a b c (Å): 9.334 9.334 9.334
angles (deg): 90.00 90.00 90.00
Positions (direct):
K (0.000, 0.250, 0.500)
K (0.000, 0.750, 0.500)
K (0.250, 0.500, 0.000)
K (0.500, 0.000, 0.250)
K (0.500, 0.000, 0.750)
K (0.750, 0.500, 0.000)
Rb (0.000, 0.000, 0.000)
Rb (0.500, 0.500, 0.500)
Ag (0.000, 0.500, 0.250)
Ag (0.000, 0.500, 0.750)
Ag (0.250, 0.000, 0.500)
Ag (0.500, 0.250, 0.000)
Ag (0.500, 0.750, 0.000)
Ag (0.750, 0.000, 0.500)

Main lines, in order of falling intensity (5 to 70 degrees two-theta):
2θ = 23.34°, I 100
2θ = 36.00°, I 63
2θ = 21.29°, I 42
2θ = 19.02°, I 41
2θ = 38.58°, I 34
2θ = 33.25°, I 32
2θ = 55.71°, I 22
2θ = 53.79°, I 19
2θ = 61.21°, I 19
2θ = 43.35°, I 18

(4)
Diffraction record for K6Rb9Ag. The X-ray diffraction stick pattern is computed, not measured: it uses the PBE geometry in Alexandria and Cu Kα X-rays.
Peak positions follow from Bragg's law for the DFT cell and can differ from measured ones.

Crystal structure
a b c (Å): 12.676 12.676 12.676
angles (deg): 127.34 127.34 77.70
Positions (direct):
K (0.094, 0.708, 0.802)
K (0.173, 0.173, 0.000)
K (0.292, 0.094, 0.386)
K (0.708, 0.906, 0.614)
K (0.827, 0.827, 0.000)
K (0.906, 0.292, 0.198)
Rb (0.033, 0.230, 0.587)
Rb (0.230, 0.644, 0.197)
Rb (0.356, 0.553, 0.587)
Rb (0.447, 0.033, 0.803)
Rb (0.500, 0.500, 0.000)
Rb (0.553, 0.967, 0.197)
Rb (0.644, 0.447, 0.413)
Rb (0.770, 0.356, 0.803)
Rb (0.967, 0.770, 0.413)
Ag (0.000, 0.000, 0.000)

Main lines, in order of falling intensity (5 to 70 degrees two-theta):
2θ = 22.25°, I 100
2θ = 25.04°, I 56
2θ = 37.23°, I 37
2θ = 42.48°, I 32
2θ = 35.70°, I 23
2θ = 27.10°, I 22
2θ = 45.39°, I 20
2θ = 18.19°, I 20
2θ = 45.08°, I 15
2θ = 65.15°, I 13

(5)
Diffraction record for KRb3Ag. The X-ray diffraction stick pattern is computed, not measured: it uses the PBE geometry in Alexandria and Cu Kα X-rays.
Peak positions follow from Bragg's law for the DFT cell and can differ from measured ones.

Crystal structure
a b c (Å): 15.587 15.587 5.308
angles (deg): 90.00 90.00 90.00
Positions (direct):
K (0.183, 0.183, 0.000)
K (0.317, 0.683, 0.500)
K (0.683, 0.317, 0.500)
K (0.817, 0.817, 0.000)
Rb (0.000, 0.317, 0.500)
Rb (0.000, 0.683, 0.500)
Rb (0.099, 0.901, 0.000)
Rb (0.183, 0.500, 0.000)
Rb (0.317, 0.000, 0.500)
Rb (0.401, 0.401, 0.500)
Rb (0.500, 0.183, 0.000)
Rb (0.500, 0.817, 0.000)
Rb (0.599, 0.599, 0.500)
Rb (0.683, 0.000, 0.500)
Rb (0.817, 0.500, 0.000)
Rb (0.901, 0.099, 0.000)
Ag (0.066, 0.066, 0.500)
Ag (0.434, 0.566, 0.000)
Ag (0.566, 0.434, 0.000)
Ag (0.934, 0.934, 0.500)

Main lines, in order of falling intensity (5 to 70 degrees two-theta):
2θ = 23.97°, I 100
2θ = 8.02°, I 60
2θ = 11.35°, I 40
2θ = 30.69°, I 39
2θ = 29.21°, I 38
2θ = 24.23°, I 33
2θ = 33.78°, I 28
2θ = 24.65°, I 27
2θ = 29.57°, I 25
2θ = 45.25°, I 24

(6)
Diffraction record for KRbTlAg. The X-ray diffraction stick pattern is computed, not measured: it uses the PBE geometry in Alexandria and Cu Kα X-rays.
Peak positions follow from Bragg's law for the DFT cell and can differ from measured ones.

Crystal structure
a b c (Å): 5.882 5.882 5.882
angles (deg): 60.00 60.00 60.00
Positions (direct):
K (0.000, 0.000, 0.000)
Rb (0.750, 0.750, 0.750)
Tl (0.250, 0.250, 0.250)
Ag (0.500, 0.500, 0.500)

Main lines, in order of falling intensity (5 to 70 degrees two-theta):
2θ = 30.39°, I 100
2θ = 54.00°, I 39
2θ = 18.47°, I 20
2θ = 43.52°, I 18
2θ = 35.80°, I 12
2θ = 63.24°, I 12
2θ = 21.36°, I 10
2θ = 47.65°, I 6
2θ = 48.97°, I 5
2θ = 57.57°, I 4